Starting from a DFT-relaxed cell (PBE, Alexandria), the powder diffraction line list of Li5CaCd was simulated for λ = 1.5418 Å (Cu Kα).

Structural model:
```
data_Li5CaCd
_chemical_formula_sum 'Li10 Ca2 Cd2'
_symmetry_space_group_name_H-M 'P 1'
_symmetry_Int_Tables_number 1
_cell_length_a 5.605
_cell_length_b 6.476
_cell_length_c 9.255
_cell_angle_alpha 104.95
_cell_angle_beta 94.42
_cell_angle_gamma 101.11
loop_
_symmetry_equiv_pos_as_xyz
'x,y,z'
loop_
_atom_site_label
_atom_site_type_symbol
_atom_site_fract_x
_atom_site_fract_y
_atom_site_fract_z
Li1 Li 0.000 0.000 0.000
Li2 Li 0.012 0.651 0.699
Li3 Li 0.084 0.943 0.522
Li4 Li 0.176 0.308 0.836
Li5 Li 0.337 0.106 0.315
Li6 Li 0.415 0.440 0.607
Li7 Li 0.578 0.236 0.086
Li8 Li 0.668 0.599 0.400
Li9 Li 0.737 0.891 0.222
Li10 Li 0.750 0.543 0.922
Ca1 Ca 0.145 0.539 0.216
Ca2 Ca 0.609 0.007 0.704
Cd1 Cd 0.376 0.773 0.960
Cd2 Cd 0.878 0.272 0.460
```

Most intense lines, 15 to 90 degrees two-theta, in order of rising 2θ:
(0 1 -1), 2θ 15.2, intensity 45; (1 -1 0), 2θ 19.3, intensity 100; (0 1 1), 2θ 19.8, intensity 95; (1 0 1), 2θ 20.2, intensity 91; (1 1 -2), 2θ 27.2, intensity 49; (0 1 -3), 2θ 29.7, intensity 41; (0 2 -2), 2θ 30.6, intensity 37; (1 0 -3), 2θ 32.5, intensity 33; (-1 2 1), 2θ 33.8, intensity 35; (2 -1 1), 2θ 34.6, intensity 34